Starting from a crystal structure in the Materials Project, relaxed with PBE, the powder X-ray diffraction pattern of Gd2Se2O was simulated for Cu Kα (weighted mean of Kα1 and Kα2).
Neutral-atom scattering factors, no anomalous dispersion.

Lattice parameters (Å, degrees): 16.265 3.975 7.103 90.00 90.00 90.00
Space group Pnma (No. 62)
One atom of each set of equivalent atoms:
Gd 0.038 0.250 0.198 [4 per cell]
Gd 0.161 0.250 0.759 [4 per cell]
Se 0.100 0.750 0.510 [4 per cell]
Se 0.180 0.750 0.052 [4 per cell]
O 0.031 0.250 0.872 [4 per cell]

Principal peaks in the range 10° ≤ 2θ ≤ 90°, by intensity:
Position (°2θ), I/Imax, (hkl)
35.65, 100, 2 1 2
27.96, 77, 2 1 1
25.24, 51, 4 0 1
33.97, 32, 4 1 1
45.65, 29, 0 2 0
30.60, 27, 3 1 1
50.42, 23, 8 1 0
30.22, 22, 5 0 1
44.27, 20, 4 0 3
57.10, 19, 8 1 2
60.49, 17, 7 1 3
42.31, 16, 6 1 1